Structure and computed powder XRD pattern of Li2La3Tl7 (a structure optimized by DFT (GGA-PBE); copper Kα).
Kinematic intensities with the Lorentz-polarization factor, no thermal factor.

Most intense lines, 2θ from 5° to 70°, sorted by position:
| two_theta | I (rel.) | hkl |
| --- | --- | --- |
| 5.7 | 29 | 0 0 2 |
| 27.7 | 39 | 1 1 2 |
| 29.5 | 55 | 1 1 4 |
| 32.2 | 100 | 1 1 6 |
| 34.6 | 18 | 0 0 12 |
| 35.7 | 21 | 1 1 8 |
| 38.7 | 53 | 2 0 0 |
| 51.2 | 15 | 2 1 9 |
| 52.9 | 22 | 2 0 12 |
| 55.8 | 18 | 2 2 0 |
| 60.5 | 28 | 1 1 18 |
| 65.9 | 22 | 3 1 6 |

Cell and atoms:
a = 4.658 Å, b = 4.658 Å, c = 31.090 Å
α = 90.00°, β = 90.00°, γ = 90.00°
Space group I4/mmm (No. 139)
Asymmetric unit:
Li  0.000  0.000  0.136 x4
La  0.000  0.000  0.334 x4
La  0.000  0.000  0.500 x2
Tl  0.000  0.000  0.000 x2
Tl  0.000  0.000  0.225 x4
Tl  0.000  0.500  0.084 x8



Structure and computed powder XRD pattern of LiLa6Tm (a structure optimized by DFT (GGA-PBE); copper Kα).
Kinematic intensities with the Lorentz-polarization factor, no thermal factor.

Most intense lines, 2θ from 5° to 70°, sorted by position:
| two_theta | I (rel.) | hkl |
| --- | --- | --- |
| 17.3 | 10 | 1 0 1 |
| 21.7 | 7 | 1 0 3 |
| 25.4 | 4 | 1 1 2 |
| 30.1 | 100 | 1 1 4 |
| 33.8 | 38 | 2 0 0 |
| 37.1 | 14 | 0 0 8 |
| 38.2 | 3 | 2 1 1 |
| 40.5 | 3 | 2 1 3 |
| 48.5 | 14 | 2 2 0 |
| 51.0 | 22 | 2 0 8 |
| 58.1 | 31 | 3 1 4 |
| 62.5 | 22 | 2 2 8 |

Cell and atoms:
a = 5.309 Å, b = 5.309 Å, c = 19.410 Å
α = 90.00°, β = 90.00°, γ = 90.00°
Space group I4/mmm (No. 139)
Asymmetric unit:
Li  0.000  0.000  0.000 x2
La  0.000  0.000  0.248 x4
La  0.000  0.500  0.118 x8
Tm  0.000  0.000  0.500 x2



Structure and computed powder XRD pattern of LiLa14Tm (a structure optimized by DFT (GGA-PBE); copper Kα).
Kinematic intensities with the Lorentz-polarization factor, no thermal factor.

Most intense lines, 2θ from 5° to 70°, sorted by position:
| two_theta | I (rel.) | hkl |
| --- | --- | --- |
| 12.1 | 2 | 1 0 0 |
| 14.7 | 3 | 1 0 1 |
| 20.8 | 1 | 1 0 2 |
| 28.5 | 1 | 2 1 1 |
| 29.7 | 100 | 2 0 2 |
| 34.2 | 17 | 0 0 4 |
| 34.6 | 33 | 2 2 0 |
| 49.4 | 24 | 2 2 4 |
| 49.7 | 12 | 4 0 0 |
| 58.4 | 15 | 2 0 6 |
| 59.0 | 29 | 4 2 2 |
| 61.7 | 12 | 4 0 4 |

Cell and atoms:
a = 7.340 Å, b = 7.340 Å, c = 10.498 Å
α = 90.00°, β = 90.00°, γ = 90.00°
Space group P4/mmm (No. 123)
Asymmetric unit:
Li  0.000  0.000  0.000 x1
La  0.000  0.000  0.500 x1
La  0.000  0.500  0.000 x2
La  0.000  0.500  0.500 x2
La  0.250  0.250  0.247 x8
La  0.500  0.500  0.500 x1
Tm  0.500  0.500  0.000 x1



Structure and computed powder XRD pattern of LiLaY (a structure optimized by DFT (GGA-PBE); copper Kα).
Kinematic intensities with the Lorentz-polarization factor, no thermal factor.

Most intense lines, 2θ from 5° to 70°, sorted by position:
| two_theta | I (rel.) | hkl |
| --- | --- | --- |
| 6.7 | 100 | 0 0 1 |
| 13.5 | 6 | 0 0 2 |
| 27.7 | 98 | 1 0 2 |
| 31.7 | 76 | 1 0 3 |
| 34.2 | 69 | 1 1 0 |
| 35.0 | 10 | 1 1 1 |
| 49.2 | 48 | 2 0 0 |
| 55.0 | 13 | 1 0 7 |
| 57.4 | 25 | 2 1 2 |
| 59.7 | 24 | 2 1 3 |
| 61.3 | 16 | 2 0 5 |
| 62.0 | 11 | 1 0 8 |

Cell and atoms:
a = 3.702 Å, b = 3.702 Å, c = 13.099 Å
α = 90.00°, β = 90.00°, γ = 90.00°
Space group P4/nmm (No. 129, origin choice 2)
Asymmetric unit:
Li  0.250  0.250  0.050 x2
La  0.250  0.250  0.395 x2
Y  0.250  0.250  0.796 x2